Record 1
Computed powder X-ray diffraction pattern
Compound: Dy2Cd3Ag2
Radiation: Cu Ka
Structure: a crystal structure in Alexandria, relaxed with GGA-PBE
Kinematic intensities with the Lorentz-polarization factor, no thermal factor.

Cell and atoms:
```
7
Lattice="2.314 -10.358 0.000 2.314 10.358 0.000 0.000 0.000 3.431" Properties=species:S:1:pos:R:3 pbc="T T T"
Dy 2.314 7.028 0.000
Dy 2.314 -7.028 0.000
Cd 0.000 0.000 0.000
Cd 2.314 1.504 1.715
Cd 2.314 -1.504 1.715
Ag 2.314 4.385 1.715
Ag 2.314 -4.385 1.715
```

Principal peaks in the range 10° ≤ 2θ ≤ 90°, by intensity:
32.8°, I 100
36.0°, I 82
36.9°, I 54
38.9°, I 41
54.7°, I 34
68.0°, I 33
66.1°, I 26
35.1°, I 26
53.4°, I 16
39.3°, I 16

Record 2
Computed powder X-ray diffraction pattern
Compound: Zn4GaAu
Radiation: Cu Ka
Structure: a crystal structure in Alexandria, relaxed with GGA-PBE
Kinematic intensities with the Lorentz-polarization factor, no thermal factor.

Cell and atoms:
```
12
Lattice="4.628 0.000 0.000 0.007 5.214 0.000 2.283 2.550 8.037" Properties=species:S:1:pos:R:3 pbc="T T T"
Zn 1.146 1.423 2.687
Zn 1.155 4.191 1.342
Zn 3.446 6.775 6.699
Zn 3.456 4.011 5.355
Zn 3.462 3.752 2.683
Zn 3.471 0.989 1.338
Zn 5.762 3.573 6.695
Zn 5.771 6.341 5.350
Ga 1.145 3.882 4.019
Ga 3.455 1.275 4.019
Au 1.162 1.581 0.005
Au 5.755 6.183 8.032
```

Principal peaks in the range 10° ≤ 2θ ≤ 90°, by intensity:
42.7°, I 100
34.4°, I 75
38.9°, I 71
11.0°, I 64
42.8°, I 52
42.5°, I 51
52.9°, I 43
40.1°, I 32
25.7°, I 19
28.0°, I 16

Record 3
Computed powder X-ray diffraction pattern
Compound: Al2Ga7
Radiation: Cu Ka
Structure: a crystal structure in Alexandria, relaxed with GGA-PBE
Kinematic intensities with the Lorentz-polarization factor, no thermal factor.

Cell and atoms:
```
9
Lattice="4.921 0.000 0.000 -2.461 4.262 0.000 0.000 0.000 7.968" Properties=species:S:1:pos:R:3 pbc="T T T"
Al 0.000 2.841 0.000
Al 2.461 1.421 0.000
Ga 0.000 0.000 0.000
Ga -0.825 1.429 5.352
Ga -1.635 2.833 2.615
Ga 1.650 0.000 5.352
Ga 0.825 1.429 2.615
Ga 3.271 0.000 2.615
Ga 1.635 2.833 5.352
```

Principal peaks in the range 10° ≤ 2θ ≤ 90°, by intensity:
38.3°, I 100
43.2°, I 69
33.7°, I 45
59.7°, I 27
76.0°, I 24
65.7°, I 19
70.4°, I 16
78.7°, I 11
11.1°, I 11
82.0°, I 10

Record 4
Computed powder X-ray diffraction pattern
Compound: Pm3TmGa2
Radiation: Cu Ka
Structure: a crystal structure in Alexandria, relaxed with GGA-PBE
Kinematic intensities with the Lorentz-polarization factor, no thermal factor.

Cell and atoms:
```
12
Lattice="5.090 0.000 0.000 0.000 9.624 0.000 0.000 0.000 6.598" Properties=species:S:1:pos:R:3 pbc="T T T"
Pm 0.000 0.447 0.000
Pm 0.000 3.212 2.238
Pm 0.000 6.412 5.537
Pm 0.000 9.177 3.299
Pm 2.545 1.728 4.666
Pm 2.545 7.896 1.367
Tm 2.545 4.310 0.299
Tm 2.545 5.314 3.598
Ga 0.000 3.396 5.418
Ga 0.000 6.228 2.118
Ga 2.545 1.423 1.521
Ga 2.545 8.201 4.820
```

Principal peaks in the range 10° ≤ 2θ ≤ 90°, by intensity:
33.0°, I 100
33.7°, I 73
35.3°, I 45
28.9°, I 30
32.3°, I 29
62.3°, I 27
49.0°, I 19
59.8°, I 19
31.0°, I 17
39.2°, I 14

Record 5
Computed powder X-ray diffraction pattern
Compound: Ba6NaH12
Radiation: Cu Ka
Structure: a crystal structure in Alexandria, relaxed with GGA-PBE
Kinematic intensities with the Lorentz-polarization factor, no thermal factor.

Cell and atoms:
```
19
Lattice="5.773 3.333 3.622 -5.773 3.333 3.622 0.000 -6.666 3.622" Properties=species:S:1:pos:R:3 pbc="T T T"
Ba -3.941 -1.292 5.534
Ba -0.852 -4.059 5.332
Ba -3.089 2.767 5.332
Ba 3.089 -2.767 5.534
Ba 0.852 4.059 5.534
Ba 3.941 1.292 5.332
Na 0.000 0.000 5.433
H -4.986 1.048 4.643
H -3.400 -3.794 6.223
H -1.509 -1.707 4.350
H 1.586 -4.842 4.643
H -2.233 0.453 6.516
H -0.724 2.160 4.350
H 0.724 -2.160 6.516
H 2.233 -0.453 4.350
H -1.586 4.842 6.223
H 1.509 1.707 6.516
H 3.400 3.794 4.643
H 4.986 -1.048 6.223
```

Principal peaks in the range 10° ≤ 2θ ≤ 90°, by intensity:
24.9°, I 100
28.8°, I 67
24.6°, I 35
48.7°, I 29
40.9°, I 26
41.4°, I 25
15.3°, I 17
48.3°, I 16
48.9°, I 13
51.2°, I 11

Q: Number 2 is which compound?
A: Zn4GaAu

Q: Number 5 is which compound?
A: Ba6NaH12

Q: Which formula does entry 2 have?
A: Zn4GaAu